Structure and simulated XRD peak list of Mg14MnZnO16 (a structure optimized by DFT (GGA+U); Cu Kα X-rays).
Intensities are scaled so that the largest is 100.

Crystal structure
Cell lengths 4.285, 8.547, 8.572 Å; angles 90.00, 90.00, 90.00 degrees
Space group Pmmm (No. 47)
One atom of each set of equivalent atoms:
Mg 0.000 0.000 0.000
Mg 0.000 0.249 0.249
Mg 0.000 0.500 0.000
Mg 0.500 0.000 0.250
Mg 0.500 0.247 0.500
Mg 0.500 0.250 0.000
Mg 0.500 0.500 0.248
Mn 0.000 0.500 0.500
Zn 0.000 0.000 0.500
O 0.000 0.000 0.244
O 0.000 0.245 0.500
O 0.000 0.250 0.000
O 0.000 0.500 0.242
O 0.500 0.000 0.000
O 0.500 0.000 0.500
O 0.500 0.250 0.251
O 0.500 0.500 0.000
O 0.500 0.500 0.500

Most intense lines, 5° ≤ 2θ ≤ 70°, most intense first:
42.2 deg, intensity 100; 61.2 deg, intensity 85; 42.3 deg, intensity 50; 36.3 deg, intensity 28; 10.3 deg, intensity 15; 20.7 deg, intensity 10; 23.2 deg, intensity 10; 29.5 deg, intensity 9; 31.3 deg, intensity 7; 37.9 deg, intensity 4; 52.3 deg, intensity 3; 43.6 deg, intensity 3